[1]
# Na2CrO4
Calculated powder X-ray diffraction pattern, Cu Kα, 1.54184 Å. Input: the GGA+U geometry in the Materials Project.
Intensities are scaled so that the largest is 100.

Structure:
Unit cell a=15.6798 b=15.6798 c=10.5999 alpha=90.00 beta=90.00 gamma=120.00
Space group R-3 (No. 148, hexagonal axes)
Inequivalent atoms, fractional coordinates:
Na: 0.0185 0.2078 0.0854 [18 per cell]
Na: 0.0211 0.2138 0.4196 [18 per cell]
Cr: 0.0145 0.2110 0.7509 [18 per cell]
O: 0.0081 0.3138 0.7526 [18 per cell]
O: 0.0697 0.2039 0.8815 [18 per cell]
O: 0.0762 0.2094 0.6231 [18 per cell]
O: 0.1003 0.8841 0.2532 [18 per cell]

Most intense lines, 15 to 90 degrees two-theta, low angle first:
| d (Å) | I/Imax | h k l |
| --- | --- | --- |
| 4.937 | 32 | 0 1 2 |
| 4.619 | 97 | 2 1 1 |
| 4.526 | 31 | 3 0 0 |
| 3.920 | 88 | 2 2 0 |
| 3.221 | 100 | 2 -1 3 |
| 2.963 | 94 | 1 4 0 |
| 2.625 | 39 | 4 -2 3 |
| 2.101 | 45 | 3 3 3 |
| 1.603 | 44 | 8 -7 3 |
| 1.540 | 20 | 3 6 3 |

[2]
# Na2Cr2O5
Calculated powder X-ray diffraction pattern, Cu Kα, 1.54184 Å. Input: the GGA+U geometry in the Materials Project.
Intensities are scaled so that the largest is 100.

Structure:
Unit cell a=14.1113 b=5.5712 c=5.3792 alpha=90.00 beta=90.00 gamma=90.00
Space group Ima2 (No. 46)
Inequivalent atoms, fractional coordinates:
Na: 0.1054 0.0315 0.0000 [8 per cell]
Cr: 0.0000 0.0000 0.4882 [4 per cell]
Cr: 0.2500 0.5778 0.0454 [4 per cell]
O: 0.0167 0.7468 0.2376 [8 per cell]
O: 0.1445 0.0686 0.4674 [8 per cell]
O: 0.2500 0.6332 0.3840 [4 per cell]

Most intense lines, 15 to 90 degrees two-theta, low angle first:
| d (Å) | I/Imax | h k l |
| --- | --- | --- |
| 3.870 | 70 | 0 1 1 |
| 3.528 | 34 | 4 0 0 |
| 2.786 | 34 | 0 2 0 |
| 2.690 | 49 | 0 0 2 |
| 2.607 | 100 | 4 1 1 |
| 2.517 | 20 | 5 1 0 |
| 2.010 | 19 | 6 1 1 |
| 1.935 | 48 | 0 2 2 |
| 1.764 | 20 | 8 0 0 |
| 1.536 | 21 | 4 1 3 |

[3]
# NaCr4O8
Calculated powder X-ray diffraction pattern, Cu Kα, 1.54184 Å. Input: the GGA+U geometry in the Materials Project.
Intensities are scaled so that the largest is 100.

Structure:
Unit cell a=13.8960 b=2.9883 c=9.8454 alpha=90.00 beta=134.79 gamma=90.00
Space group C2/m (No. 12)
Inequivalent atoms, fractional coordinates:
Na: 0.0000 0.0000 0.0000 [2 per cell]
Cr: 0.1521 0.0000 0.8176 [4 per cell]
Cr: 0.1648 0.5000 0.5133 [4 per cell]
O: 0.0399 0.0000 0.3777 [4 per cell]
O: 0.1519 0.5000 0.9530 [4 per cell]
O: 0.1629 0.5000 0.7029 [4 per cell]
O: 0.1999 0.5000 0.3524 [4 per cell]

Most intense lines, 15 to 90 degrees two-theta, low angle first:
| d (Å) | I/Imax | h k l |
| --- | --- | --- |
| 4.927 | 74 | 2 0 0 |
| 3.120 | 69 | 2 0 1 |
| 3.109 | 38 | 4 0 -3 |
| 2.473 | 100 | 1 1 1 |
| 2.463 | 26 | 4 0 -4 |
| 2.210 | 49 | 3 1 -3 |
| 1.867 | 44 | 3 1 -4 |
| 1.563 | 28 | 3 1 2 |
| 1.558 | 30 | 7 1 -5 |
| 1.371 | 22 | 1 1 -5 |

Please write out number 3 again, unchanged.
# NaCr4O8
Calculated powder X-ray diffraction pattern, Cu Kα, 1.54184 Å. Input: the GGA+U geometry in the Materials Project.
Intensities are scaled so that the largest is 100.

Structure:
Unit cell a=13.8960 b=2.9883 c=9.8454 alpha=90.00 beta=134.79 gamma=90.00
Space group C2/m (No. 12)
Inequivalent atoms, fractional coordinates:
Na: 0.0000 0.0000 0.0000 [2 per cell]
Cr: 0.1521 0.0000 0.8176 [4 per cell]
Cr: 0.1648 0.5000 0.5133 [4 per cell]
O: 0.0399 0.0000 0.3777 [4 per cell]
O: 0.1519 0.5000 0.9530 [4 per cell]
O: 0.1629 0.5000 0.7029 [4 per cell]
O: 0.1999 0.5000 0.3524 [4 per cell]

Most intense lines, 15 to 90 degrees two-theta, low angle first:
| d (Å) | I/Imax | h k l |
| --- | --- | --- |
| 4.927 | 74 | 2 0 0 |
| 3.120 | 69 | 2 0 1 |
| 3.109 | 38 | 4 0 -3 |
| 2.473 | 100 | 1 1 1 |
| 2.463 | 26 | 4 0 -4 |
| 2.210 | 49 | 3 1 -3 |
| 1.867 | 44 | 3 1 -4 |
| 1.563 | 28 | 3 1 2 |
| 1.558 | 30 | 7 1 -5 |
| 1.371 | 22 | 1 1 -5 |